Theoretical PXRD pattern
Compound: Na3ZnSnP3O12
Radiation: Cu Kα
Structure: DFT lattice parameters and positions (PBE)
Peak positions follow from Bragg's law for the DFT cell and can differ from measured ones.

Cell and atoms:
Lattice parameters (Å, degrees): 8.993 8.993 8.907 119.67 119.67 60.24
Fractional positions:
Na  0.058  0.942  0.500
Na  0.210  0.433  0.962
Na  0.342  0.794  0.197
Na  0.433  0.210  0.462
Na  0.794  0.342  0.697
Na  0.942  0.058  0.000
Zn  0.166  0.667  0.767
Zn  0.667  0.166  0.267
Sn  0.471  0.958  0.661
Sn  0.958  0.471  0.161
P  0.073  0.268  0.476
P  0.268  0.073  0.976
P  0.357  0.574  0.462
P  0.574  0.357  0.962
P  0.767  0.866  0.472
P  0.866  0.767  0.972
O  0.037  0.297  0.297
O  0.045  0.741  0.962
O  0.086  0.243  0.970
O  0.123  0.422  0.648
O  0.194  0.536  0.277
O  0.231  0.918  0.963
O  0.243  0.086  0.470
O  0.297  0.037  0.797
O  0.306  0.621  0.624
O  0.369  0.744  0.466
O  0.411  0.532  0.956
O  0.422  0.123  0.148
O  0.532  0.411  0.456
O  0.536  0.194  0.777
O  0.581  0.884  0.466
O  0.621  0.306  0.124
O  0.702  0.798  0.796
O  0.741  0.045  0.462
O  0.744  0.369  0.966
O  0.798  0.702  0.296
O  0.838  0.924  0.146
O  0.884  0.581  0.966
O  0.918  0.231  0.463
O  0.924  0.838  0.646

Top 12 peaks for 10° ≤ 2θ ≤ 90°, by angle:
13.94 deg, rel. 30; 19.73 deg, rel. 100; 19.94 deg, rel. 18; 23.15 deg, rel. 25; 28.15 deg, rel. 22; 31.39 deg, rel. 36; 31.51 deg, rel. 31; 31.73 deg, rel. 28; 34.46 deg, rel. 47; 34.60 deg, rel. 19; 47.36 deg, rel. 18; 53.81 deg, rel. 23